For U2TlCoO8, the GGA+U geometry in Alexandria gives the simulated XRD peak list in this record (CuKα).
Lines closer than 0.1° are merged.

Crystal structure
a b c (Å): 5.340 5.340 10.624
angles (deg): 90.00 90.00 90.00
Space group I-4 (No. 82)
Inequivalent atoms, fractional coordinates:
U1 0.000 0.000 0.000 x2
U2 0.000 0.500 0.250 x2
Tl1 0.000 0.500 0.750 x2
Co1 0.000 0.000 0.500 x2
O1 0.204 0.784 0.148 x8
O2 0.209 0.739 0.403 x8

Principal peaks in the range 2θ from 10° to 90°, sorted by position:
hkl  2θ/deg  I/Imax
1 0 1  18.60  16
1 1 2  29.01  100
2 0 0  33.56  24
0 0 4  33.75  12
2 2 0  48.20  16
2 0 4  48.33  31
3 1 2  57.24  31
1 1 6  57.48  15
2 2 4  60.13  11
1 3 6  78.22  13